[1]
Structure and calculated X-ray powder pattern of La4ZnCuRh2O12 (the GGA-PBE geometry in Alexandria; CuKα).
Kinematic intensities with the Lorentz-polarization factor, no thermal factor.

Top 12 peaks for 10° ≤ 2θ ≤ 80°, low angle first:
2θ (°), d [Å], I_rel, (hkl)
24.85, 3.583, 11, -1 1 1
30.84, 2.899, 21, 0 2 0
31.74, 2.819, 100, 1 1 -2
32.09, 2.789, 25, 2 0 0
45.11, 2.010, 21, 2 2 0
45.89, 1.977, 14, 0 0 4
46.62, 1.948, 10, 0 2 3
51.35, 1.779, 11, 1 3 1
55.42, 1.658, 10, 1 3 2
56.99, 1.616, 23, 3 1 2
57.10, 1.613, 11, 2 0 -4
75.97, 1.253, 8, 1 1 -6

Crystal structure
```
data_La4ZnCuRh2O12
_cell_length_a 5.578
_cell_length_b 5.798
_cell_length_c 7.910
_cell_angle_alpha 90.12
_cell_angle_beta 90.01
_cell_angle_gamma 90.00
_symmetry_space_group_name_H-M 'P -1'
_symmetry_Int_Tables_number 2
loop_
_symmetry_equiv_pos_as_xyz
'x,y,z'
'-x,-y,-z'
loop_
_atom_site_label
_atom_site_type_symbol
_atom_site_fract_x
_atom_site_fract_y
_atom_site_fract_z
La1 La 0.013 0.059 0.251
La2 La 0.485 0.560 0.249
Zn1 Zn 0.500 0.000 0.000
Cu1 Cu 0.000 0.500 0.500
Rh1 Rh 0.000 0.500 0.000
Rh2 Rh 0.500 0.000 0.500
O1 O 0.094 0.526 0.751
O2 O 0.192 0.793 0.050
O3 O 0.203 0.802 0.451
O4 O 0.297 0.304 0.048
O5 O 0.306 0.291 0.449
O6 O 0.406 0.027 0.748
```



[2]
Structure and calculated X-ray powder pattern of In2Ag7Sn2Au (the GGA-PBE geometry in Alexandria; CuKα).
Kinematic intensities with the Lorentz-polarization factor, no thermal factor.

Top 12 peaks for 10° ≤ 2θ ≤ 80°, low angle first:
2θ (°), d [Å], I_rel, (hkl)
27.92, 3.196, 15, 0 2 0
35.34, 2.540, 44, 0 2 3
35.74, 2.512, 100, 2 0 3
40.27, 2.240, 73, 2 2 0
40.92, 2.206, 28, 2 2 -1
43.26, 2.092, 18, 0 0 6
45.96, 1.975, 17, 2 2 -3
57.69, 1.598, 13, 0 4 0
58.78, 1.571, 12, 4 0 0
66.78, 1.401, 16, 2 2 -7
66.89, 1.399, 12, 2 2 7
69.75, 1.348, 27, 2 4 3

Crystal structure
```
data_In2Ag7Sn2Au
_cell_length_a 6.283
_cell_length_b 6.392
_cell_length_c 12.549
_cell_angle_alpha 90.00
_cell_angle_beta 90.11
_cell_angle_gamma 90.00
_symmetry_space_group_name_H-M 'C 1 2/m 1'
_symmetry_Int_Tables_number 12
loop_
_symmetry_equiv_pos_as_xyz
'x,y,z'
'-x,-y,-z'
'-x,y,-z'
'x,-y,z'
'x+1/2,y+1/2,z'
'-x+1/2,-y+1/2,-z'
'-x+1/2,y+1/2,-z'
'x+1/2,-y+1/2,z'
loop_
_atom_site_label
_atom_site_type_symbol
_atom_site_fract_x
_atom_site_fract_y
_atom_site_fract_z
In1 In 0.000 0.000 0.192
Ag1 Ag 0.000 0.000 0.500
Ag2 Ag 0.248 0.000 0.000
Ag3 Ag 0.249 0.250 0.354
Sn1 Sn 0.000 0.500 0.194
Au1 Au 0.000 0.500 0.500
```



[3]
Structure and calculated X-ray powder pattern of ReNi2Ir6 (the GGA-PBE geometry in Alexandria; CuKα).
Kinematic intensities with the Lorentz-polarization factor, no thermal factor.

Top 12 peaks for 10° ≤ 2θ ≤ 80°, low angle first:
2θ (°), d [Å], I_rel, (hkl)
15.84, 5.594, 21, 0 2 0
37.08, 2.425, 25, 0 4 1
37.39, 2.405, 45, 1 1 -2
38.27, 2.352, 86, 3 1 1
39.79, 2.266, 35, 3 3 -1
41.52, 2.175, 70, 1 5 0
41.92, 2.155, 41, 2 2 -2
43.25, 2.092, 100, 4 2 -1
43.77, 2.068, 56, 2 4 1
44.06, 2.055, 62, 1 3 -2
45.33, 2.001, 18, 2 0 2
70.33, 1.339, 17, 5 1 -3

Crystal structure
```
data_ReNi2Ir6
_cell_length_a 9.405
_cell_length_b 11.188
_cell_length_c 4.941
_cell_angle_alpha 90.00
_cell_angle_beta 100.74
_cell_angle_gamma 90.00
_symmetry_space_group_name_H-M 'C 1 2/c 1'
_symmetry_Int_Tables_number 15
loop_
_symmetry_equiv_pos_as_xyz
'x,y,z'
'-x,-y,-z'
'-x,y,-z+1/2'
'x,-y,z+1/2'
'x+1/2,y+1/2,z'
'-x+1/2,-y+1/2,-z'
'-x+1/2,y+1/2,-z+1/2'
'x+1/2,-y+1/2,z+1/2'
loop_
_atom_site_label
_atom_site_type_symbol
_atom_site_fract_x
_atom_site_fract_y
_atom_site_fract_z
Re1 Re 0.000 0.096 0.250
Ni1 Ni 0.127 0.484 0.359
Ir1 Ir 0.052 0.307 0.020
Ir2 Ir 0.148 0.103 0.814
Ir3 Ir 0.235 0.327 0.680
```



> Number 3 is which compound?

ReNi2Ir6